Record 1
# Dy7ErTm2
Calculated powder XRD pattern, Cu Ka. Input: the GGA-PBE geometry in Alexandria.
Neutral-atom scattering factors, no anomalous dispersion.

The 8 most intense peaks (2θ = 10–80°), by angle:
31.1 deg, I 100.0; 36.1 deg, I 50.6; 52.0 deg, I 35.9; 61.8 deg, I 14.3; 61.8 deg, I 28.4; 64.9 deg, I 12.3; 76.5 deg, I 3.8; 76.6 deg, I 1.9

Cell lengths 6.091, 7.039, 7.870 Å; angles 77.07, 75.06, 73.30 degrees
Atoms (fractional coordinates):
1 Dy 0.000 0.000 0.000
2 Dy 0.200 0.800 0.600
3 Dy 0.400 0.100 0.200
4 Dy 0.400 0.600 0.200
5 Dy 0.600 0.400 0.800
6 Dy 0.600 0.900 0.800
7 Dy 0.800 0.200 0.400
8 Er 0.000 0.500 0.000
9 Tm 0.199 0.301 0.600
10 Tm 0.801 0.699 0.400

---

Record 2
# Li2VPd8
Calculated powder XRD pattern, Cu Ka. Input: the GGA-PBE geometry in Alexandria.
Neutral-atom scattering factors, no anomalous dispersion.

The 10 most intense peaks (2θ = 10–80°), by angle:
13.3 deg, I 8.9; 22.7 deg, I 7.3; 26.7 deg, I 5.2; 26.9 deg, I 8.1; 40.1 deg, I 100.0; 45.9 deg, I 17.0; 46.7 deg, I 15.9; 47.5 deg, I 15.3; 67.6 deg, I 10.2; 68.2 deg, I 10.1

Cell lengths 7.221, 7.221, 6.132 Å; angles 105.38, 105.38, 31.81 degrees
Atoms (fractional coordinates):
1 Li 0.225 0.225 0.142
2 Li 0.775 0.775 0.858
3 V 0.500 0.500 0.500
4 Pd 0.044 0.044 0.230
5 Pd 0.136 0.136 0.681
6 Pd 0.320 0.320 0.584
7 Pd 0.406 0.406 0.050
8 Pd 0.594 0.594 0.950
9 Pd 0.680 0.680 0.416
10 Pd 0.864 0.864 0.319
11 Pd 0.956 0.956 0.770

---

Record 3
# La5Pr5Hg2
Calculated powder XRD pattern, Cu Ka. Input: the GGA-PBE geometry in Alexandria.
Neutral-atom scattering factors, no anomalous dispersion.

The 10 most intense peaks (2θ = 10–80°), by angle:
27.4 deg, I 7.4; 30.7 deg, I 100.0; 31.4 deg, I 50.6; 43.0 deg, I 7.0; 45.0 deg, I 15.9; 54.2 deg, I 12.2; 55.5 deg, I 29.0; 59.0 deg, I 5.7; 64.0 deg, I 6.2; 74.5 deg, I 5.2

Cell lengths 6.921, 6.921, 11.400 Å; angles 90.02, 90.02, 48.58 degrees
Atoms (fractional coordinates):
1 La 0.000 0.000 0.000
2 La 0.317 0.317 0.540
3 La 0.478 0.478 0.250
4 La 0.522 0.522 0.750
5 La 0.683 0.683 0.460
6 Pr 0.000 0.000 0.500
7 Pr 0.183 0.183 0.248
8 Pr 0.315 0.315 0.959
9 Pr 0.685 0.685 0.041
10 Pr 0.817 0.817 0.752
11 Hg 0.139 0.139 0.749
12 Hg 0.861 0.861 0.251

---

Record 4
# Co2Sb3Te3
Calculated powder XRD pattern, Cu Ka. Input: the GGA-PBE geometry in Alexandria.
Neutral-atom scattering factors, no anomalous dispersion.

The 10 most intense peaks (2θ = 10–80°), by angle:
30.5 deg, I 100.0; 36.3 deg, I 42.6; 41.3 deg, I 9.1; 43.7 deg, I 24.6; 45.9 deg, I 10.1; 48.1 deg, I 17.5; 50.2 deg, I 18.4; 58.0 deg, I 15.2; 58.1 deg, I 10.7; 68.7 deg, I 13.3

Cell lengths 9.264, 9.264, 9.264 Å; angles 89.93, 89.93, 89.93 degrees
Atoms (fractional coordinates):
1 Co 0.249 0.249 0.249
2 Co 0.250 0.250 0.749
3 Co 0.250 0.749 0.250
4 Co 0.251 0.750 0.750
5 Co 0.749 0.250 0.250
6 Co 0.750 0.251 0.750
7 Co 0.750 0.750 0.251
8 Co 0.751 0.751 0.751
9 Sb 0.001 0.674 0.836
10 Sb 0.164 0.999 0.326
11 Sb 0.175 0.664 0.500
12 Sb 0.326 0.164 0.999
13 Sb 0.336 0.500 0.825
14 Sb 0.500 0.175 0.664
15 Sb 0.500 0.825 0.336
16 Sb 0.664 0.500 0.175
17 Sb 0.674 0.836 0.001
18 Sb 0.825 0.336 0.500
19 Sb 0.836 0.001 0.674
20 Sb 0.999 0.326 0.164
21 Te 0.001 0.334 0.843
22 Te 0.157 0.999 0.666
23 Te 0.165 0.343 0.499
24 Te 0.334 0.843 0.001
25 Te 0.343 0.499 0.165
26 Te 0.499 0.165 0.343
27 Te 0.501 0.835 0.657
28 Te 0.657 0.501 0.835
29 Te 0.666 0.157 0.999
30 Te 0.835 0.657 0.501
31 Te 0.843 0.001 0.334
32 Te 0.999 0.666 0.157

---

Record 5
# Mg3H5Ir
Calculated powder XRD pattern, Cu Ka. Input: the GGA-PBE geometry in Alexandria.
Neutral-atom scattering factors, no anomalous dispersion.

The 10 most intense peaks (2θ = 10–80°), by angle:
18.3 deg, I 97.4; 21.9 deg, I 100.0; 22.4 deg, I 23.3; 23.9 deg, I 54.1; 24.8 deg, I 64.2; 37.2 deg, I 65.1; 38.1 deg, I 46.6; 40.9 deg, I 41.5; 41.8 deg, I 24.3; 42.6 deg, I 33.3

Cell lengths 4.837, 4.837, 5.469 Å; angles 113.46, 113.46, 59.90 degrees
Atoms (fractional coordinates):
1 Mg 0.000 0.000 0.000
2 Mg 0.338 0.383 0.614
3 Mg 0.617 0.662 0.386
4 H 0.061 0.662 0.283
5 H 0.338 0.939 0.717
6 H 0.425 0.575 0.000
7 H 0.589 0.140 0.273
8 H 0.860 0.411 0.727
9 Ir 0.961 0.039 0.500

---

Record 6
# SrH6C2O6
Calculated powder XRD pattern, Cu Ka. Input: the GGA-PBE geometry in Alexandria.
Neutral-atom scattering factors, no anomalous dispersion.

The 10 most intense peaks (2θ = 10–80°), by angle:
13.9 deg, I 100.0; 14.6 deg, I 32.4; 19.1 deg, I 31.8; 28.0 deg, I 37.0; 28.1 deg, I 29.0; 28.5 deg, I 45.1; 30.8 deg, I 39.8; 32.0 deg, I 18.7; 37.7 deg, I 20.7; 40.3 deg, I 30.8

Cell lengths 7.215, 7.450, 12.143 Å; angles 90.00, 90.00, 90.00 degrees
Atoms (fractional coordinates):
1 Sr 0.202 0.243 0.429
2 Sr 0.298 0.757 0.929
3 Sr 0.702 0.257 0.571
4 Sr 0.798 0.743 0.071
5 H 0.016 0.455 0.918
6 H 0.055 0.704 0.433
7 H 0.111 0.065 0.664
8 H 0.118 0.952 0.261
9 H 0.142 0.482 0.692
10 H 0.203 0.115 0.832
11 H 0.297 0.885 0.332
12 H 0.358 0.518 0.192
13 H 0.382 0.048 0.761
14 H 0.389 0.935 0.164
15 H 0.445 0.296 0.933
16 H 0.484 0.545 0.418
17 H 0.516 0.045 0.082
18 H 0.555 0.796 0.567
19 H 0.611 0.435 0.336
20 H 0.618 0.548 0.739
21 H 0.642 0.018 0.308
22 H 0.703 0.385 0.168
23 H 0.797 0.615 0.668
24 H 0.858 0.982 0.808
25 H 0.882 0.452 0.239
26 H 0.889 0.565 0.836
27 H 0.945 0.204 0.067
28 H 0.984 0.955 0.582
29 C 0.028 0.142 0.000
30 C 0.205 0.523 0.186
31 C 0.295 0.477 0.686
32 C 0.472 0.858 0.500
33 C 0.528 0.358 0.000
34 C 0.705 0.977 0.814
35 C 0.795 0.023 0.314
36 C 0.972 0.642 0.500
37 O 0.029 0.080 0.599
38 O 0.040 0.971 0.000
39 O 0.101 0.245 0.929
40 O 0.115 0.433 0.258
41 O 0.135 0.618 0.110
42 O 0.249 0.020 0.780
43 O 0.251 0.980 0.280
44 O 0.365 0.382 0.610
45 O 0.385 0.567 0.758
46 O 0.399 0.755 0.429
47 O 0.460 0.029 0.500
48 O 0.471 0.920 0.099
49 O 0.529 0.420 0.401
50 O 0.540 0.529 0.000
51 O 0.601 0.255 0.071
52 O 0.615 0.067 0.742
53 O 0.635 0.882 0.890
54 O 0.749 0.480 0.220
55 O 0.751 0.520 0.720
56 O 0.865 0.118 0.390
57 O 0.885 0.933 0.242
58 O 0.899 0.745 0.571
59 O 0.960 0.471 0.500
60 O 0.971 0.580 0.901